This entry pairs a crystal structure of CoAsRh2 with its calculated powder diffractogram. Radiation: Cu Kα, 1.54184 Å. Structure: a PBE-relaxed structure.
No peak broadening, texture or thermal motion is included.

Cell and atoms:
```
CoAsRh2
1.0
3.8930 0.0000 0.0000
0.0000 1.4245 4.9499
0.0000 -1.4245 4.9499
Co As Rh
1 1 2
Direct
0.0000 0.0000 0.0000 Co
0.5000 0.8605 0.8605 As
0.0000 0.2642 0.2642 Rh
0.5000 0.6055 0.6055 Rh
```

Most intense lines, 15 to 90 degrees two-theta, in order of rising 2θ:
d/Å	Rel. int.
2.239	100
2.156	45
2.089	73
1.946	33
1.886	14
1.626	13
1.445	24
1.177	22
1.173	12
1.149	21